Entry 1:
# Li3ThSn3
Calculated powder diffractogram, Cu Kα. Input: a structure optimized by DFT (GGA-PBE).
Lines closer than 0.1° are merged.

The 10 most intense peaks (15° ≤ 2θ ≤ 90°), most intense first:
| 2θ (°) | intensity |
| --- | --- |
| 31.4 | 1000 |
| 48.8 | 602 |
| 28.6 | 563 |
| 25.5 | 420 |
| 85.7 | 192 |
| 52.4 | 182 |
| 74.4 | 179 |
| 59.1 | 172 |
| 46.9 | 150 |
| 62.3 | 147 |

Cell and atoms:
abc: 6.987 6.987 6.987
angles: 90.00 90.00 90.00
Element x y z (fractional)
Li1 0.000 0.250 0.500
Li2 0.000 0.750 0.500
Li3 0.250 0.500 0.000
Li4 0.500 0.000 0.250
Li5 0.500 0.000 0.750
Li6 0.750 0.500 0.000
Th1 0.000 0.000 0.000
Th2 0.500 0.500 0.500
Sn1 0.000 0.500 0.250
Sn2 0.000 0.500 0.750
Sn3 0.250 0.000 0.500
Sn4 0.500 0.250 0.000
Sn5 0.500 0.750 0.000
Sn6 0.750 0.000 0.500

---

Entry 2:
# HoEr7Cd2
Calculated powder diffractogram, Cu Kα. Input: a structure optimized by DFT (GGA-PBE).
Lines closer than 0.1° are merged.

The 10 most intense peaks (15° ≤ 2θ ≤ 90°), most intense first:
| 2θ (°) | intensity |
| --- | --- |
| 35.0 | 1000 |
| 35.4 | 772 |
| 30.4 | 729 |
| 34.6 | 562 |
| 28.6 | 558 |
| 46.8 | 448 |
| 17.1 | 423 |
| 62.7 | 367 |
| 20.6 | 303 |
| 26.4 | 265 |

Cell and atoms:
abc: 8.999 8.999 5.178
angles: 90.00 90.00 120.81
Element x y z (fractional)
Ho1 0.000 0.000 0.000
Er1 0.066 0.298 0.500
Er2 0.222 0.778 0.000
Er3 0.298 0.066 0.500
Er4 0.500 0.500 0.500
Er5 0.702 0.934 0.500
Er6 0.778 0.222 0.000
Er7 0.934 0.702 0.500
Cd1 0.304 0.696 0.500
Cd2 0.696 0.304 0.500

---

Entry 3:
# SnHg2Rh
Calculated powder diffractogram, Cu Kα. Input: a structure optimized by DFT (GGA-PBE).
Lines closer than 0.1° are merged.

The 10 most intense peaks (15° ≤ 2θ ≤ 90°), most intense first:
| 2θ (°) | intensity |
| --- | --- |
| 28.4 | 1000 |
| 37.8 | 457 |
| 40.6 | 437 |
| 77.4 | 306 |
| 54.6 | 252 |
| 45.6 | 219 |
| 48.0 | 207 |
| 58.7 | 193 |
| 31.8 | 154 |
| 34.9 | 150 |

Cell and atoms:
abc: 8.894 8.894 5.138
angles: 90.00 90.00 90.00
Element x y z (fractional)
Sn1 0.000 0.000 0.000
Sn2 0.000 0.500 0.250
Sn3 0.500 0.000 0.750
Sn4 0.500 0.500 0.500
Hg1 0.162 0.250 0.625
Hg2 0.250 0.662 0.875
Hg3 0.250 0.838 0.375
Hg4 0.338 0.250 0.125
Hg5 0.662 0.750 0.125
Hg6 0.750 0.162 0.375
Hg7 0.750 0.338 0.875
Hg8 0.838 0.750 0.625
Rh1 0.000 0.000 0.500
Rh2 0.000 0.500 0.750
Rh3 0.500 0.000 0.250
Rh4 0.500 0.500 0.000

---

Entry 4:
# RbPuAuSe2
Calculated powder diffractogram, Cu Kα. Input: a structure optimized by DFT (GGA-PBE).
Lines closer than 0.1° are merged.

The 10 most intense peaks (15° ≤ 2θ ≤ 90°), most intense first:
| 2θ (°) | intensity |
| --- | --- |
| 28.8 | 1000 |
| 32.4 | 968 |
| 35.9 | 743 |
| 33.3 | 707 |
| 28.4 | 656 |
| 22.5 | 621 |
| 40.8 | 545 |
| 41.1 | 508 |
| 24.4 | 484 |
| 39.5 | 463 |

Cell and atoms:
abc: 8.089 5.279 7.984
angles: 90.00 102.09 90.00
Element x y z (fractional)
Rb1 0.000 0.182 0.250
Rb2 0.000 0.818 0.750
Pu1 0.500 0.488 0.750
Pu2 0.500 0.512 0.250
Au1 0.500 0.000 0.000
Au2 0.500 0.000 0.500
Se1 0.260 0.309 0.954
Se2 0.260 0.691 0.454
Se3 0.740 0.309 0.546
Se4 0.740 0.691 0.046

---

Entry 5:
# LaMg5Pt3
Calculated powder diffractogram, Cu Kα. Input: a structure optimized by DFT (GGA-PBE).
Lines closer than 0.1° are merged.

The 10 most intense peaks (15° ≤ 2θ ≤ 90°), most intense first:
| 2θ (°) | intensity |
| --- | --- |
| 31.9 | 1000 |
| 26.5 | 906 |
| 24.9 | 786 |
| 24.3 | 714 |
| 44.0 | 396 |
| 43.4 | 345 |
| 30.8 | 320 |
| 40.4 | 309 |
| 38.3 | 290 |
| 36.1 | 280 |

Cell and atoms:
abc: 7.452 7.452 12.804
angles: 90.00 90.00 147.96
Element x y z (fractional)
La1 0.166 0.834 0.750
La2 0.834 0.166 0.250
Mg1 0.000 0.000 0.000
Mg2 0.000 0.000 0.500
Mg3 0.199 0.801 0.054
Mg4 0.199 0.801 0.446
Mg5 0.437 0.563 0.643
Mg6 0.437 0.563 0.857
Mg7 0.563 0.437 0.143
Mg8 0.563 0.437 0.357
Mg9 0.801 0.199 0.554
Mg10 0.801 0.199 0.946
Pt1 0.139 0.861 0.250
Pt2 0.384 0.616 0.065
Pt3 0.384 0.616 0.435
Pt4 0.616 0.384 0.565
Pt5 0.616 0.384 0.935
Pt6 0.861 0.139 0.750

---

Entry 6:
# CuClO
Calculated powder diffractogram, Cu Kα. Input: a structure optimized by DFT (GGA-PBE).
Lines closer than 0.1° are merged.

The 10 most intense peaks (15° ≤ 2θ ≤ 90°), most intense first:
| 2θ (°) | intensity |
| --- | --- |
| 24.5 | 1000 |
| 34.2 | 961 |
| 27.4 | 583 |
| 42.1 | 539 |
| 35.3 | 487 |
| 31.3 | 451 |
| 25.0 | 443 |
| 25.8 | 438 |
| 42.9 | 298 |
| 59.0 | 294 |

Cell and atoms:
abc: 11.058 6.687 13.010
angles: 90.00 90.00 90.00
Element x y z (fractional)
Cu1 0.006 0.022 0.000
Cu2 0.013 0.479 0.524
Cu3 0.221 0.697 0.049
Cu4 0.227 0.802 0.480
Cu5 0.273 0.302 0.980
Cu6 0.279 0.197 0.549
Cu7 0.487 0.979 0.024
Cu8 0.494 0.522 0.500
Cu9 0.506 0.478 0.000
Cu10 0.513 0.021 0.524
Cu11 0.721 0.803 0.049
Cu12 0.727 0.698 0.480
Cu13 0.773 0.198 0.980
Cu14 0.779 0.303 0.549
Cu15 0.987 0.521 0.024
Cu16 0.994 0.978 0.500
Cl1 0.027 0.159 0.221
Cl2 0.153 0.320 0.299
Cl3 0.168 0.074 0.896
Cl4 0.177 0.438 0.626
Cl5 0.323 0.938 0.126
Cl6 0.332 0.574 0.396
Cl7 0.347 0.820 0.799
Cl8 0.473 0.659 0.721
Cl9 0.527 0.341 0.221
Cl10 0.653 0.180 0.299
Cl11 0.668 0.426 0.896
Cl12 0.677 0.062 0.626
Cl13 0.823 0.562 0.126
Cl14 0.832 0.926 0.396
Cl15 0.847 0.680 0.799
Cl16 0.973 0.841 0.721
O1 0.058 0.777 0.053
O2 0.065 0.722 0.469
O3 0.147 0.484 0.981
O4 0.151 0.012 0.550
O5 0.349 0.512 0.050
O6 0.353 0.984 0.481
O7 0.435 0.222 0.969
O8 0.442 0.277 0.553
O9 0.558 0.723 0.053
O10 0.565 0.778 0.469
O11 0.647 0.016 0.981
O12 0.651 0.488 0.550
O13 0.849 0.988 0.050
O14 0.853 0.516 0.481
O15 0.935 0.278 0.969
O16 0.942 0.223 0.553